[1]
Structure and simulated powder diffractogram of Cu4Pt3 (DFT lattice parameters and positions (GGA-PBE); Cu Kα, 1.54184 Å).

Cell and atoms:
```
Cu4Pt3
1.0
2.719 0.000 0.000
0.000 3.726 0.000
0.000 0.000 18.965
Cu Pt
8 6
direct
0.000 0.000 0.000
0.000 0.000 0.134
0.000 0.000 0.567
0.000 0.000 0.857
0.500 0.500 0.067
0.500 0.500 0.357
0.500 0.500 0.500
0.500 0.500 0.634
0.000 0.000 0.284
0.000 0.000 0.430
0.000 0.000 0.703
0.500 0.500 0.203
0.500 0.500 0.784
0.500 0.500 0.930
```

Largest 8 diffraction maxima, low angle first, 2θ from 15° to 90°:
2θ 41.09, I = 100.0; 2θ 41.20, I = 94.2; 2θ 47.36, I = 62.9; 2θ 48.89, I = 30.2; 2θ 70.44, I = 37.6; 2θ 83.71, I = 23.7; 2θ 83.92, I = 20.0; 2θ 86.10, I = 22.9



[2]
Structure and simulated powder diffractogram of Cu4Pt7 (DFT lattice parameters and positions (GGA-PBE); Cu Kα, 1.54184 Å).

Cell and atoms:
```
Cu4Pt7
1.0
4.741 0.000 0.000
-0.796 4.678 0.000
-0.020 -0.783 7.199
Cu Pt
4 7
direct
0.000 0.000 0.000
0.092 0.544 0.179
0.549 0.271 0.090
0.820 0.910 0.637
0.183 0.093 0.352
0.277 0.642 0.545
0.361 0.179 0.734
0.456 0.728 0.912
0.640 0.814 0.264
0.733 0.362 0.449
0.908 0.452 0.828
```

Largest 8 diffraction maxima, low angle first, 2θ from 15° to 90°:
2θ 40.34, I = 100.0; 2θ 46.83, I = 16.2; 2θ 46.98, I = 32.5; 2θ 68.44, I = 10.6; 2θ 68.59, I = 20.5; 2θ 82.46, I = 6.2; 2θ 82.58, I = 9.3; 2θ 82.70, I = 15.6



[3]
Structure and simulated powder diffractogram of Cu5Pt7 (DFT lattice parameters and positions (GGA-PBE); Cu Kα, 1.54184 Å).

Cell and atoms:
```
Cu5Pt7
1.0
2.730 -3.863 0.000
2.730 3.863 0.000
0.000 0.000 8.144
Cu Pt
5 7
direct
0.000 0.000 0.000
0.000 0.500 0.834
0.500 0.000 0.166
0.500 0.500 0.330
0.500 0.500 0.670
0.000 0.000 0.327
0.000 0.000 0.673
0.000 0.500 0.161
0.000 0.500 0.501
0.500 0.000 0.499
0.500 0.000 0.839
0.500 0.500 0.000
```

Largest 8 diffraction maxima, low angle first, 2θ from 15° to 90°:
2θ 22.73, I = 29.2; 2θ 40.46, I = 100.0; 2θ 40.62, I = 98.3; 2θ 47.04, I = 32.5; 2θ 47.21, I = 63.9; 2θ 68.84, I = 51.4; 2θ 83.02, I = 37.2; 2θ 83.35, I = 24.1



[4]
Structure and simulated powder diffractogram of Cu2Pt (DFT lattice parameters and positions (GGA-PBE); Cu Kα, 1.54184 Å).

Cell and atoms:
```
Cu2Pt
1.0
4.422 -3.986 0.000
4.422 3.986 0.000
-0.713 0.000 4.555
Cu Pt
8 4
direct
0.079 0.921 0.750
0.161 0.327 0.997
0.245 0.755 0.250
0.327 0.161 0.497
0.673 0.839 0.503
0.755 0.245 0.750
0.839 0.673 0.003
0.921 0.079 0.250
0.000 0.500 0.500
0.415 0.585 0.750
0.500 0.000 0.000
0.585 0.415 0.250
```

Largest 8 diffraction maxima, low angle first, 2θ from 15° to 90°:
2θ 15.04, I = 25.6; 2θ 23.41, I = 33.5; 2θ 41.33, I = 50.3; 2θ 41.44, I = 100.0; 2θ 41.80, I = 48.9; 2θ 47.81, I = 33.5; 2θ 48.55, I = 62.8; 2θ 70.86, I = 29.5



[5]
Structure and simulated powder diffractogram of Cu5Pt6 (DFT lattice parameters and positions (GGA-PBE); Cu Kα, 1.54184 Å).

Cell and atoms:
```
Cu5Pt6
1.0
4.689 0.000 0.000
-1.546 5.873 0.000
-0.804 -2.128 5.662
Cu Pt
5 6
direct
0.000 0.000 0.000
0.090 0.359 0.817
0.271 0.090 0.456
0.729 0.910 0.544
0.910 0.641 0.183
0.176 0.733 0.628
0.360 0.452 0.266
0.449 0.821 0.094
0.551 0.179 0.906
0.640 0.548 0.734
0.824 0.267 0.372
```

Largest 8 diffraction maxima, low angle first, 2θ from 15° to 90°:
2θ 40.64, I = 100.0; 2θ 40.78, I = 33.1; 2θ 47.09, I = 21.8; 2θ 47.44, I = 42.8; 2θ 68.97, I = 13.5; 2θ 69.18, I = 13.8; 2θ 83.60, I = 16.4; 2θ 87.99, I = 10.9



[6]
Structure and simulated powder diffractogram of Cu2Pt (DFT lattice parameters and positions (GGA-PBE); Cu Kα, 1.54184 Å).

Cell and atoms:
```
Cu2Pt
1.0
-1.383 1.383 15.609
1.383 -1.383 15.609
1.383 1.383 -15.609
Cu Pt
6 3
direct
0.000 0.000 0.000
0.102 0.102 0.000
0.217 0.217 0.000
0.333 0.333 0.000
0.551 0.551 0.000
0.885 0.885 0.000
0.442 0.442 0.000
0.659 0.659 0.000
0.776 0.776 0.000
```

Largest 8 diffraction maxima, low angle first, 2θ from 15° to 90°:
2θ 17.04, I = 11.6; 2θ 32.50, I = 12.0; 2θ 41.77, I = 100.0; 2θ 46.43, I = 37.7; 2θ 52.78, I = 11.5; 2θ 67.77, I = 13.3; 2θ 72.90, I = 17.1; 2θ 82.86, I = 26.3



[7]
Structure and simulated powder diffractogram of Cu2Pt (DFT lattice parameters and positions (GGA-PBE); Cu Kα, 1.54184 Å).

Cell and atoms:
```
Cu2Pt
1.0
4.663 -2.686 0.000
4.663 2.686 0.000
-4.612 0.000 6.425
Cu Pt
8 4
direct
0.000 0.000 0.000
0.000 0.487 0.999
0.487 0.000 0.999
0.490 0.490 0.320
0.490 0.990 0.322
0.500 0.500 0.004
0.990 0.490 0.322
0.996 0.996 0.665
0.497 0.497 0.664
0.501 0.999 0.668
0.984 0.984 0.316
0.999 0.501 0.668
```

Largest 8 diffraction maxima, low angle first, 2θ from 15° to 90°:
2θ 20.31, I = 14.0; 2θ 41.19, I = 100.0; 2θ 41.30, I = 56.7; 2θ 42.19, I = 46.1; 2θ 48.03, I = 31.4; 2θ 48.38, I = 64.1; 2θ 69.92, I = 20.0; 2θ 71.18, I = 18.9



[8]
Structure and simulated powder diffractogram of Cu4Pt3 (DFT lattice parameters and positions (GGA-PBE); Cu Kα, 1.54184 Å).

Cell and atoms:
```
Cu4Pt3
1.0
3.549 2.049 2.211
-3.549 2.049 2.211
0.000 -4.099 2.211
Cu Pt
4 3
direct
0.000 0.000 0.000
0.435 0.716 0.858
0.716 0.858 0.435
0.858 0.435 0.716
0.143 0.580 0.283
0.283 0.143 0.580
0.580 0.283 0.143
```

Largest 8 diffraction maxima, low angle first, 2θ from 15° to 90°:
2θ 19.69, I = 22.1; 2θ 25.09, I = 15.8; 2θ 40.82, I = 33.3; 2θ 41.16, I = 100.0; 2θ 47.80, I = 64.8; 2θ 69.67, I = 20.7; 2θ 70.15, I = 21.1; 2θ 84.47, I = 25.8



[9]
Structure and simulated powder diffractogram of Cu5Pt6 (DFT lattice parameters and positions (GGA-PBE); Cu Kα, 1.54184 Å).

Cell and atoms:
```
Cu5Pt6
1.0
4.736 0.000 0.000
-0.782 6.002 0.000
-1.560 -2.022 5.491
Cu Pt
5 6
direct
0.000 0.000 0.000
0.087 0.826 0.357
0.180 0.648 0.729
0.547 0.914 0.175
0.731 0.563 0.911
0.275 0.477 0.086
0.360 0.275 0.448
0.452 0.090 0.819
0.638 0.736 0.548
0.820 0.374 0.269
0.909 0.188 0.635
```

Largest 8 diffraction maxima, low angle first, 2θ from 15° to 90°:
2θ 40.49, I = 53.5; 2θ 40.71, I = 100.0; 2θ 40.77, I = 49.4; 2θ 47.06, I = 33.0; 2θ 47.44, I = 64.5; 2θ 69.26, I = 20.2; 2θ 83.32, I = 18.6; 2θ 83.70, I = 18.1



[10]
Structure and simulated powder diffractogram of Cu5Pt7 (DFT lattice parameters and positions (GGA-PBE); Cu Kα, 1.54184 Å).

Cell and atoms:
```
Cu5Pt7
1.0
3.803 0.000 0.000
0.000 2.747 8.221
0.000 -2.747 8.221
Cu Pt
5 7
direct
0.000 0.000 0.000
0.000 0.163 0.163
0.000 0.666 0.666
0.500 0.496 0.993
0.500 0.993 0.496
0.000 0.319 0.319
0.000 0.500 0.500
0.000 0.826 0.826
0.500 0.162 0.665
0.500 0.333 0.841
0.500 0.665 0.162
0.500 0.841 0.333
```

Largest 8 diffraction maxima, low angle first, 2θ from 15° to 90°:
2θ 32.06, I = 7.6; 2θ 40.54, I = 100.0; 2θ 46.82, I = 32.5; 2θ 47.84, I = 15.9; 2θ 69.18, I = 20.1; 2θ 82.55, I = 12.4; 2θ 82.70, I = 11.0; 2θ 84.12, I = 12.2



[11]
Structure and simulated powder diffractogram of Cu5Pt7 (DFT lattice parameters and positions (GGA-PBE); Cu Kα, 1.54184 Å).

Cell and atoms:
```
Cu5Pt7
1.0
2.738 0.000 0.000
0.000 7.728 0.000
0.000 0.000 8.138
Cu Pt
5 7
direct
0.000 0.000 0.000
0.000 0.500 0.345
0.000 0.500 0.655
0.500 0.258 0.500
0.500 0.742 0.500
0.000 0.000 0.336
0.000 0.000 0.664
0.000 0.500 0.000
0.500 0.254 0.174
0.500 0.254 0.826
0.500 0.746 0.174
0.500 0.746 0.826
```

Largest 8 diffraction maxima, low angle first, 2θ from 15° to 90°:
2θ 15.81, I = 20.3; 2θ 40.37, I = 100.0; 2θ 40.63, I = 96.8; 2θ 47.03, I = 32.1; 2θ 47.16, I = 63.3; 2θ 68.81, I = 40.3; 2θ 82.83, I = 36.9; 2θ 83.35, I = 23.9



[12]
Structure and simulated powder diffractogram of Cu5Pt7 (DFT lattice parameters and positions (GGA-PBE); Cu Kα, 1.54184 Å).

Cell and atoms:
```
Cu5Pt7
1.0
2.770 0.000 0.000
0.000 2.770 0.000
0.000 0.000 22.197
Cu Pt
5 7
direct
0.000 0.000 0.000
0.000 0.000 0.162
0.000 0.000 0.326
0.000 0.000 0.489
0.500 0.500 0.928
0.000 0.000 0.663
0.000 0.000 0.847
0.500 0.500 0.080
0.500 0.500 0.244
0.500 0.500 0.407
0.500 0.500 0.571
0.500 0.500 0.755
```

Largest 8 diffraction maxima, low angle first, 2θ from 15° to 90°:
2θ 38.30, I = 7.5; 2θ 40.69, I = 100.0; 2θ 46.35, I = 36.9; 2θ 49.27, I = 10.9; 2θ 67.64, I = 11.8; 2θ 69.95, I = 14.7; 2θ 82.03, I = 26.9; 2θ 88.11, I = 8.1



[13]
Structure and simulated powder diffractogram of Cu3Pt5 (DFT lattice parameters and positions (GGA-PBE); Cu Kα, 1.54184 Å).

Cell and atoms:
```
Cu3Pt5
1.0
2.741 1.583 4.463
-2.741 1.583 4.463
0.000 -3.165 4.463
Cu Pt
3 5
direct
0.000 0.500 0.500
0.500 0.000 0.500
0.500 0.500 0.000
0.000 0.000 0.000
0.000 0.000 0.500
0.000 0.500 0.000
0.500 0.000 0.000
0.500 0.500 0.500
```

Largest 8 diffraction maxima, low angle first, 2θ from 15° to 90°:
2θ 19.88, I = 25.8; 2θ 38.53, I = 15.0; 2θ 40.31, I = 100.0; 2θ 40.43, I = 33.1; 2θ 46.93, I = 64.8; 2θ 68.46, I = 20.9; 2θ 68.62, I = 20.7; 2θ 82.60, I = 37.7



[14]
Structure and simulated powder diffractogram of Cu2Pt (DFT lattice parameters and positions (GGA-PBE); Cu Kα, 1.54184 Å).

Cell and atoms:
```
Cu2Pt
1.0
7.265 0.000 0.000
-3.633 6.292 0.000
0.000 0.000 2.702
Cu Pt
6 3
direct
0.000 0.304 0.000
0.000 0.634 0.500
0.304 0.000 0.000
0.366 0.366 0.500
0.634 0.000 0.500
0.696 0.696 0.000
0.000 0.000 0.500
0.333 0.667 0.000
0.667 0.333 0.000
```

Largest 8 diffraction maxima, low angle first, 2θ from 15° to 90°:
2θ 24.51, I = 68.4; 2θ 36.18, I = 41.6; 2θ 41.66, I = 38.6; 2θ 43.13, I = 100.0; 2θ 44.19, I = 47.5; 2θ 51.17, I = 45.1; 2θ 74.53, I = 24.6; 2θ 85.50, I = 27.0